This entry pairs a crystal structure of Ti5FeGe5 with its theoretical powder diffraction line list. Radiation: Cu Kα, 1.54184 Å. Structure: the PBE geometry in Alexandria.
No peak broadening, texture or thermal motion is included.

Atomic structure:
a b c (Å): 9.8283 5.1350 8.5176
angles (deg): 90.00 116.71 90.00
Space group C2/m (No. 12)
Symmetry-distinct sites (fractional):
Ti: 0.0000 0.0000 0.0000 x2
Ti: 0.1691 0.5000 0.8464 x4
Ti: 0.1710 0.5000 0.3247 x4
Fe: 0.0000 0.0000 0.5000 x2
Ge: 0.0000 0.5000 0.5000 x2
Ge: 0.1538 0.0000 0.8229 x4
Ge: 0.1632 0.0000 0.3359 x4

Peak list (10 most intense, 5 to 70 degrees two-theta, in order of rising 2θ)
| 2θ/deg | I (rel.) |
| --- | --- |
| 11.63 | 22 |
| 20.03 | 19 |
| 34.95 | 100 |
| 36.95 | 87 |
| 37.61 | 79 |
| 42.46 | 57 |
| 51.77 | 60 |
| 52.27 | 58 |
| 56.12 | 46 |
| 63.59 | 15 |